Computed powder XRD pattern of VInBrO4 for a wavelength of 1.5418 Å, from DFT lattice parameters and positions (PBE+U).
Kinematic intensities with the Lorentz-polarization factor, no thermal factor.

Crystal structure
abc: 11.675 6.113 6.682
angles: 90.00 103.57 90.00
Space group C2/m (No. 12)
Unique sites:
V1 0.131 0.000 0.257 (multiplicity 4)
In1 0.205 0.000 0.836 (multiplicity 4)
Br1 0.031 0.500 0.676 (multiplicity 4)
O1 0.019 0.000 0.774 (multiplicity 4)
O2 0.178 0.225 0.123 (multiplicity 8)
O3 0.198 0.000 0.512 (multiplicity 4)

Most intense lines, 2θ = 10–90°, by intensity:
h k l  2θ/deg  intensity
3 1 0  27.73  100.0
0 2 0  29.22  69.4
3 1 -1  28.40  41.6
1 1 1  22.60  36.6
2 0 -1  18.19  33.9
0 0 2  27.46  30.1
1 1 -2  30.53  28.5
3 1 1  33.46  27.0
1 1 -3  43.29  25.1
6 2 -1  56.10  22.4